[1]
The following is a theoretical powder diffractogram of BaTl2Hg7Au2. It was derived from a PBE-relaxed structure, using Cu Kα, 1.54184 Å.
Lines closer than 0.1° are merged.

Structure:
Cell: 7.3647 8.1822 12.3415 Å, 90.00 98.81 90.00°
Space group C2/m (No. 12)
Unique sites:
Ba 0.0000 0.0000 0.0000
Tl 0.0806 0.0000 0.3742
Hg 0.0000 0.5000 0.0000
Hg 0.1144 0.5000 0.4141
Hg 0.1468 0.3210 0.7970
Au 0.2405 0.5000 0.2043

Most intense lines, 2θ from 10° to 90°, in order of rising 2θ:
| two_theta | I (rel.) | h k l |
| --- | --- | --- |
| 14.53 | 30 | 0 0 2 |
| 21.72 | 57 | 0 2 0 |
| 30.35 | 100 | 2 0 -3 |
| 30.47 | 91 | 2 0 2 |
| 32.92 | 45 | 2 2 -1 |
| 34.61 | 28 | 2 2 1 |
| 35.52 | 26 | 1 3 -1 |
| 36.32 | 33 | 1 3 1 |
| 36.85 | 70 | 0 0 5 |
| 37.44 | 34 | 1 3 -2 |
| 37.64 | 26 | 2 2 -3 |
| 54.67 | 38 | 2 4 -3 |


[2]
The following is a theoretical powder diffractogram of NaEr2Pb3. It was derived from a PBE-relaxed structure, using Cu Kα, 1.54184 Å.
Lines closer than 0.1° are merged.

Structure:
Cell: 3.9162 3.9162 11.1293 Å, 90.00 90.00 90.00°
Space group P4/mmm (No. 123)
Unique sites:
Na 0.0000 0.0000 0.0000
Er 0.0000 0.0000 0.3341
Pb 0.5000 0.5000 0.1731
Pb 0.5000 0.5000 0.5000

Most intense lines, 2θ from 10° to 90°, in order of rising 2θ:
| two_theta | I (rel.) | h k l |
| --- | --- | --- |
| 22.71 | 9 | 1 0 0 |
| 32.33 | 53 | 1 1 0 |
| 33.27 | 100 | 1 0 3 |
| 46.37 | 20 | 2 0 0 |
| 49.12 | 8 | 0 0 6 |
| 58.26 | 40 | 2 1 3 |
| 60.03 | 18 | 1 1 6 |
| 69.85 | 12 | 2 0 6 |
| 77.00 | 9 | 3 1 0 |
| 77.52 | 9 | 3 0 3 |
| 81.65 | 7 | 1 0 9 |
| 88.02 | 7 | 2 2 6 |


[3]
The following is a theoretical powder diffractogram of Cs4Tl. It was derived from a PBE-relaxed structure, using Cu Kα, 1.54184 Å.
Lines closer than 0.1° are merged.

Structure:
Cell: 10.1386 19.7825 8.5826 Å, 90.00 90.00 90.00°
Space group Ibam (No. 72)
Unique sites:
Cs 0.1410 0.1655 0.0000
Cs 0.1906 0.4251 0.0000
Tl 0.0000 0.0000 0.2500

Most intense lines, 2θ from 10° to 90°, in order of rising 2θ:
| two_theta | I (rel.) | h k l |
| --- | --- | --- |
| 20.84 | 62 | 2 1 1 |
| 22.53 | 100 | 1 4 1 |
| 22.95 | 21 | 1 1 2 |
| 24.15 | 28 | 1 5 0 |
| 26.29 | 55 | 1 3 2 |
| 27.23 | 34 | 2 0 2 |
| 27.52 | 29 | 0 4 2 |
| 28.71 | 25 | 2 2 2 |
| 29.70 | 31 | 3 3 0 |
| 37.38 | 24 | 1 4 3 |
| 40.94 | 26 | 3 5 2 |
| 46.95 | 30 | 3 7 2 |